Record 1
Calculated powder diffraction line list of In2SiAg2S6 for λ = 1.5418 Å (Cu Kα), from DFT lattice parameters and positions (GGA-PBE).
Peak positions follow from Bragg's law for the DFT cell and can differ from measured ones.

Principal peaks in the range 15° ≤ 2θ ≤ 90°, in order of falling intensity:
2theta, I (rel.)
26.09, 100
25.72, 64
29.49, 53
24.93, 53
46.29, 50
25.02, 45
22.84, 43
30.39, 42
29.35, 38
29.02, 36

Cell and atoms:
```
22
Lattice="6.1644 -3.6291 0.0000 6.1644 3.6291 0.0000 -4.0698 0.0000 11.5947" Properties=species:S:1:pos:R:3 pbc="T T T"
In 4.1295 3.1752 5.7974
In 9.3261 0.6985 2.3020
In 7.2912 -0.6985 8.0993
In 6.1644 -3.1752 0.0000
Si 5.9623 1.9570 2.9817
Si 3.9275 -1.9570 8.7791
Ag 4.1960 0.6550 0.0449
Ag 4.4335 1.5208 9.8172
Ag 2.1611 -0.6550 5.8422
Ag 6.4684 -1.5208 4.0198
S 1.9695 1.8921 5.9795
S 3.9137 1.8936 2.3927
S 0.8910 0.0340 2.3330
S -1.1439 -0.0340 8.1304
S 1.9141 1.9568 10.2717
S 6.0820 1.7743 5.1041
S 6.8698 0.2056 2.1241
S 4.0043 -1.8921 0.1821
S 1.8789 -1.8936 8.1901
S 4.8349 -0.2056 7.9215
S 3.9490 -1.9568 4.4743
S 4.0471 -1.7743 10.9015
```

***

Record 2
Calculated powder diffraction line list of PtS2 for λ = 1.5418 Å (Cu Kα), from DFT lattice parameters and positions (GGA-PBE).
Peak positions follow from Bragg's law for the DFT cell and can differ from measured ones.

Principal peaks in the range 15° ≤ 2θ ≤ 90°, in order of falling intensity:
2theta, I (rel.)
15.98, 100
29.94, 67
37.88, 57
50.60, 28
33.11, 27
53.84, 26
51.04, 24
43.81, 14
65.29, 12
87.32, 11

Cell and atoms:
```
6
Lattice="3.5786 0.0000 0.0000 -1.7893 3.0991 0.0000 0.0000 0.0000 11.0923" Properties=species:S:1:pos:R:3 pbc="T T T"
Pt 0.0000 2.0661 0.0000
Pt 1.7893 1.0330 5.5462
S 0.0000 0.0000 4.3194
S 0.0000 0.0000 9.8656
S 0.0000 2.0661 6.7720
S 1.7893 1.0330 1.2259
```

***

Record 3
Calculated powder diffraction line list of MgScZnSb for λ = 1.5418 Å (Cu Kα), from DFT lattice parameters and positions (GGA-PBE).
Peak positions follow from Bragg's law for the DFT cell and can differ from measured ones.

Principal peaks in the range 15° ≤ 2θ ≤ 90°, in order of falling intensity:
2theta, I (rel.)
36.42, 100
65.54, 33
25.53, 27
52.46, 17
88.66, 14
59.22, 11
77.37, 10
22.07, 10
45.01, 8
83.05, 5

Cell and atoms:
```
4
Lattice="0.0000 3.4886 3.4886 3.4886 0.0000 3.4886 3.4886 3.4886 0.0000" Properties=species:S:1:pos:R:3 pbc="T T T"
Mg 0.0000 0.0000 0.0000
Sc 3.4886 3.4886 3.4886
Zn 5.2329 5.2329 5.2329
Sb 1.7443 1.7443 1.7443
```

***

Record 4
Calculated powder diffraction line list of NdYCu2As4 for λ = 1.5418 Å (Cu Kα), from DFT lattice parameters and positions (GGA-PBE).
Peak positions follow from Bragg's law for the DFT cell and can differ from measured ones.

Principal peaks in the range 15° ≤ 2θ ≤ 90°, in order of falling intensity:
2theta, I (rel.)
36.90, 100
46.01, 36
35.25, 22
79.12, 21
28.83, 21
51.21, 15
35.92, 13
59.71, 11
67.10, 11
71.28, 11

Cell and atoms:
```
8
Lattice="3.9452 0.0000 0.0000 0.0000 3.9452 0.0000 0.0000 0.0000 9.9999" Properties=species:S:1:pos:R:3 pbc="T T T"
Nd 0.0000 0.0000 0.0000
Y 1.9726 1.9726 5.2527
Cu 0.0000 1.9726 2.6683
Cu 1.9726 0.0000 2.6683
As 0.0000 0.0000 4.2337
As 0.0000 1.9726 7.5762
As 1.9726 0.0000 7.5762
As 1.9726 1.9726 1.1179
```

***

Record 5
Calculated powder diffraction line list of BW10N15 for λ = 1.5418 Å (Cu Kα), from DFT lattice parameters and positions (GGA-PBE).
Peak positions follow from Bragg's law for the DFT cell and can differ from measured ones.

Principal peaks in the range 15° ≤ 2θ ≤ 90°, in order of falling intensity:
2theta, I (rel.)
35.49, 100
30.96, 76
32.61, 60
45.70, 58
36.75, 56
37.44, 52
15.35, 43
44.66, 36
52.53, 31
30.17, 21

Cell and atoms:
```
52
Lattice="5.7739 -5.2441 0.0000 5.7739 5.2441 0.0000 0.0000 0.0000 9.6128" Properties=species:S:1:pos:R:3 pbc="T T T"
B 0.0000 0.0000 0.0000
B 5.7739 0.0000 4.8064
W 1.6145 0.7534 6.0121
W 2.7771 1.6976 0.9904
W 2.9968 1.6976 3.8159
W 5.7739 3.0276 6.2581
W 1.6145 -0.7534 3.6006
W 4.1593 0.7534 8.4070
W 5.7739 2.2166 1.4517
W 2.7771 -1.6976 8.6223
W 2.9968 -1.6976 5.7968
W 4.1593 -0.7534 1.2058
W 7.3884 0.7534 8.4070
W 8.5509 1.6976 3.8159
W 8.7706 1.6976 0.9904
W 5.7739 -2.2166 8.1610
W 7.3884 -0.7534 1.2058
W 9.9332 0.7534 6.0121
W 5.7739 -3.0276 3.3547
W 8.5509 -1.6976 5.7968
W 8.7706 -1.6976 8.6223
W 9.9332 -0.7534 3.6006
N 0.0000 0.0000 4.8064
N 1.4205 0.9957 2.5332
N 2.8869 1.8327 7.2096
N 4.4570 2.7716 4.7677
N 5.7739 3.7424 2.4300
N 4.4570 2.4725 9.5740
N 2.4182 0.0000 0.0000
N 1.4205 -0.9957 7.0796
N 4.3534 0.9957 2.2732
N 3.3557 0.0000 4.8064
N 7.0908 2.7716 4.7677
N 5.7739 1.5017 7.2363
N 7.0908 2.4725 9.5740
N 2.8869 -1.8327 2.4032
N 4.3534 -0.9957 7.3395
N 5.7739 0.0000 0.0000
N 7.1943 0.9957 2.2732
N 8.6608 1.8327 7.2096
N 4.4570 -2.4725 0.0387
N 5.7739 -1.5017 2.3764
N 4.4570 -2.7716 4.8451
N 8.1920 0.0000 4.8064
N 7.1943 -0.9957 7.3395
N 10.1272 0.9957 2.5332
N 9.1296 0.0000 0.0000
N 7.0908 -2.4725 0.0387
N 5.7739 -3.7424 7.1828
N 7.0908 -2.7716 4.8451
N 8.6608 -1.8327 2.4032
N 10.1272 -0.9957 7.0796
```

***

Record 6
Calculated powder diffraction line list of CsRbPAu for λ = 1.5418 Å (Cu Kα), from DFT lattice parameters and positions (GGA-PBE).
Peak positions follow from Bragg's law for the DFT cell and can differ from measured ones.

Principal peaks in the range 15° ≤ 2θ ≤ 90°, in order of falling intensity:
2theta, I (rel.)
27.65, 100
29.88, 97
30.65, 59
31.08, 57
51.75, 55
26.86, 47
35.35, 40
36.46, 35
28.84, 34
39.28, 27

Cell and atoms:
```
8
Lattice="6.8292 0.0000 0.0000 0.0000 3.7983 5.3454 0.0000 -3.7983 5.3454" Properties=species:S:1:pos:R:3 pbc="T T T"
Cs 1.7073 -2.6767 5.3454
Cs 5.1219 2.6767 5.3454
Rb 1.7073 1.1351 7.0151
Rb 5.1219 -1.1351 7.0151
P 1.7073 1.7155 3.5680
P 5.1219 -1.7155 3.5680
Au 0.0000 0.0000 3.4851
Au 3.4146 0.0000 3.4851
```

***

Record 7
Calculated powder diffraction line list of Mg2NbSb3Pd3 for λ = 1.5418 Å (Cu Kα), from DFT lattice parameters and positions (GGA-PBE).
Peak positions follow from Bragg's law for the DFT cell and can differ from measured ones.

Principal peaks in the range 15° ≤ 2θ ≤ 90°, in order of falling intensity:
2theta, I (rel.)
40.49, 100
40.60, 99
24.49, 85
58.68, 33
73.79, 32
47.91, 31
24.54, 28
48.00, 22
73.58, 16
73.88, 16

Cell and atoms:
```
18
Lattice="3.8630 -6.6698 0.0000 3.8630 6.6698 0.0000 -2.5640 0.0000 7.2548" Properties=species:S:1:pos:R:3 pbc="T T T"
Mg 2.5810 5.5533 3.6274
Mg 1.2745 3.3347 7.2544
Mg 2.5566 -3.3347 3.6270
Mg 3.8630 -5.5533 0.0000
Nb 2.5561 1.1208 3.6225
Nb 1.2741 -1.1208 7.2499
Sb -0.0210 1.1403 5.4545
Sb 1.2611 -1.1403 1.8271
Sb 3.8456 3.3070 5.4488
Sb 5.1776 1.1070 1.7996
Sb 3.8955 -1.1070 5.4270
Sb 5.1276 -3.3070 1.8214
Pd 0.0314 1.1129 2.7297
Pd -1.2506 -1.1129 6.3571
Pd 3.8309 3.2883 2.7289
Pd 2.5407 1.0565 6.3146
Pd 3.8227 -1.0565 2.6872
Pd 2.5489 -3.2883 6.3563
```

***

Record 8
Calculated powder diffraction line list of HfScIr2 for λ = 1.5418 Å (Cu Kα), from DFT lattice parameters and positions (GGA-PBE).
Peak positions follow from Bragg's law for the DFT cell and can differ from measured ones.

Principal peaks in the range 15° ≤ 2θ ≤ 90°, in order of falling intensity:
2theta, I (rel.)
38.19, 100
39.46, 91
40.73, 84
69.00, 35
71.62, 32
74.10, 29
20.04, 24
53.09, 19
57.10, 16
32.90, 14

Cell and atoms:
```
4
Lattice="3.0472 -3.2261 0.0000 3.0472 3.2261 0.0000 0.0000 0.0000 3.4499" Properties=species:S:1:pos:R:3 pbc="T T T"
Hf 0.0000 0.0000 0.0000
Sc 3.0472 0.0000 0.0000
Ir 1.5236 1.6130 1.7249
Ir 1.5236 -1.6130 1.7249
```

***

Record 9
Calculated powder diffraction line list of Hf2Ta4Ni3N3 for λ = 1.5418 Å (Cu Kα), from DFT lattice parameters and positions (GGA-PBE).
Peak positions follow from Bragg's law for the DFT cell and can differ from measured ones.

Principal peaks in the range 15° ≤ 2θ ≤ 90°, in order of falling intensity:
2theta, I (rel.)
39.64, 100
34.40, 38
60.33, 26
33.70, 22
27.14, 16
43.75, 15
41.21, 15
67.34, 11
54.24, 8
67.21, 8

Cell and atoms:
```
24
Lattice="4.6137 -2.6561 0.0000 4.6137 2.6561 0.0000 -3.0867 0.0000 13.1446" Properties=species:S:1:pos:R:3 pbc="T T T"
Hf 2.3212 2.2219 8.1565
Hf 2.2761 2.2219 11.5605
Hf 3.8645 -2.2219 1.5842
Hf 3.8195 -2.2219 4.9882
Ta 2.2936 0.4434 1.1732
Ta 2.3084 0.4600 5.3967
Ta 0.7502 -0.4434 7.7455
Ta 0.7651 -0.4600 11.9690
Ta 5.3756 0.4600 1.1756
Ta 5.3905 0.4434 5.3992
Ta 3.8322 -0.4600 7.7479
Ta 3.8471 -0.4434 11.9715
Ni -0.0995 0.8252 9.8675
Ni 1.4439 -0.8252 3.2952
Ni 3.8420 0.3663 3.2862
Ni 2.2987 -0.3663 9.8585
Ni 4.6968 0.8252 9.8495
Ni 6.2402 -0.8252 3.2772
N 0.7635 1.3280 6.5723
N 0.8127 1.4214 13.1429
N 3.7846 1.4214 6.5740
N 2.3069 -1.3280 0.0000
N 2.3561 -1.4214 6.5706
N 5.3279 -1.4214 0.0017
```

***

Copy entry 2 word for word.
Calculated powder diffraction line list of PtS2 for λ = 1.5418 Å (Cu Kα), from DFT lattice parameters and positions (GGA-PBE).
Peak positions follow from Bragg's law for the DFT cell and can differ from measured ones.

Principal peaks in the range 15° ≤ 2θ ≤ 90°, in order of falling intensity:
2theta, I (rel.)
15.98, 100
29.94, 67
37.88, 57
50.60, 28
33.11, 27
53.84, 26
51.04, 24
43.81, 14
65.29, 12
87.32, 11

Cell and atoms:
```
6
Lattice="3.5786 0.0000 0.0000 -1.7893 3.0991 0.0000 0.0000 0.0000 11.0923" Properties=species:S:1:pos:R:3 pbc="T T T"
Pt 0.0000 2.0661 0.0000
Pt 1.7893 1.0330 5.5462
S 0.0000 0.0000 4.3194
S 0.0000 0.0000 9.8656
S 0.0000 2.0661 6.7720
S 1.7893 1.0330 1.2259
```